# 1
Computed powder diffractogram of CuAg for Cu Kα (weighted mean of Kα1 and Kα2), from a crystal structure in OQMD, relaxed with PBE.
Neutral-atom scattering factors, no anomalous dispersion.

Atomic structure:
abc: 11.3301 11.3301 4.7361
angles: 96.92 96.92 14.41
Element x y z (fractional)
Cu 0.0000 0.0000 0.0000
Cu 0.0916 0.0916 0.7191
Cu 0.1998 0.1998 0.4089
Cu 0.5028 0.5028 0.5334
Cu 0.7923 0.7923 0.6111
Ag 0.2969 0.2969 0.1223
Ag 0.3969 0.3969 0.8049
Ag 0.5968 0.5968 0.2304
Ag 0.6918 0.6918 0.8899
Ag 0.9066 0.9066 0.3143

Principal peaks in the range 5° ≤ 2θ ≤ 70°, by angle:
39.72°, I = 100
40.42°, I = 30
45.46°, I = 44
48.25°, I = 18
67.99°, I = 12
68.90°, I = 10

***

# 2
Computed powder diffractogram of Ta9Ni4 for Cu Kα (weighted mean of Kα1 and Kα2), from a crystal structure in OQMD, relaxed with PBE.
Neutral-atom scattering factors, no anomalous dispersion.

Atomic structure:
abc: 9.3361 9.3361 9.3361
angles: 33.32 33.32 33.32
Element x y z (fractional)
Ta 0.0000 0.0000 0.0000
Ta 0.0827 0.0827 0.5782
Ta 0.0827 0.5782 0.0827
Ta 0.3512 0.3512 0.3512
Ta 0.4218 0.9173 0.9173
Ta 0.5782 0.0827 0.0827
Ta 0.6488 0.6488 0.6488
Ta 0.9173 0.4218 0.9173
Ta 0.9173 0.9173 0.4218
Ni 0.1675 0.1675 0.1675
Ni 0.4567 0.4567 0.4567
Ni 0.5433 0.5433 0.5433
Ni 0.8325 0.8325 0.8325

Principal peaks in the range 5° ≤ 2θ ≤ 70°, by angle:
39.01°, I = 49
39.41°, I = 100
40.98°, I = 23
42.37°, I = 29
42.59°, I = 46
45.93°, I = 29